Simulated powder X-ray diffraction pattern
Compound: ZrBrN
Radiation: λ = 1.5418 Å (Cu Kα)
Structure: DFT lattice parameters and positions (GGA-PBE)

Cell and atoms:
Cell: 3.6891 3.6891 30.5951 Å, 90.00 90.00 120.00°
Space group R-3m (No. 166, hexagonal axes)
Asymmetric unit:
Zr1 0.0000 0.0000 0.1241 x6
Br1 0.0000 0.0000 0.3923 x6
N1 0.0000 0.0000 0.1951 x6

Top 10 peaks for 10° ≤ 2θ ≤ 90°, by angle:
30.3 deg, intensity 100, hkl 1 0 4
35.2 deg, intensity 12, hkl 0 0 12
36.7 deg, intensity 39, hkl 0 1 8
40.8 deg, intensity 13, hkl 1 0 10
43.1 deg, intensity 10, hkl 0 1 11
49.4 deg, intensity 32, hkl 1 1 0
59.1 deg, intensity 14, hkl 0 2 4
62.1 deg, intensity 13, hkl 1 1 12
68.6 deg, intensity 11, hkl 1 1 15
80.5 deg, intensity 12, hkl 2 1 4

---

Simulated powder X-ray diffraction pattern
Compound: Fe2Cu10Sb4S13
Radiation: λ = 1.5418 Å (Cu Kα)
Structure: DFT lattice parameters and positions (GGA-PBE)

Cell and atoms:
Cell: 10.3827 10.3827 10.4202 Å, 90.00 90.00 90.00°
Space group I-42m (No. 121)
Asymmetric unit:
Fe1 0.0000 0.0000 0.2237 x4
Cu1 0.0000 0.2224 0.0000 x8
Cu2 0.0000 0.2502 0.5000 x8
Cu3 0.0000 0.5000 0.2500 x4
Sb1 0.2261 0.2261 0.2311 x8
S1 0.0000 0.0000 0.0000 x2
S2 0.1146 0.1146 0.6339 x8
S3 0.1162 0.3658 0.8846 x16

Top 10 peaks for 10° ≤ 2θ ≤ 90°, by angle:
24.2 deg, intensity 8, hkl 2 0 2
29.8 deg, intensity 100, hkl 2 2 2
32.2 deg, intensity 11, hkl 2 1 3
34.4 deg, intensity 8, hkl 0 0 4
34.6 deg, intensity 15, hkl 4 0 0
36.7 deg, intensity 8, hkl 4 1 1
44.5 deg, intensity 7, hkl 4 3 1
49.6 deg, intensity 49, hkl 4 0 4
58.8 deg, intensity 10, hkl 2 2 6
59.0 deg, intensity 18, hkl 6 2 2